For ScNiO2, a crystal structure in Alexandria, relaxed with PBE+U gives the calculated XRD peak list in this record (a wavelength of 1.5418 Å).
Intensities are scaled so that the largest is 100.

Structural model:
```
8
Lattice="3.277 0.000 0.000 0.001 4.100 0.000 1.597 2.038 8.195" Properties=species:S:1:pos:R:3 pbc="T T T"
Sc 0.000 0.000 0.000
Sc 1.628 2.051 1.967
Ni 3.411 4.090 6.663
Ni 3.256 2.047 4.923
O 1.614 4.101 1.342
O 3.241 2.039 6.766
O 3.258 2.053 3.113
O 3.193 2.050 0.267
```

Peak list (10 most intense, 10° ≤ 2θ ≤ 90°, low angle first)
(0 0 1), 10.8°, I 100
(0 1 0), 22.4°, I 69
(0 1 -1), 27.2°, I 40
(1 0 0), 27.8°, I 78
(1 0 -1), 31.8°, I 59
(1 0 2), 31.9°, I 33
(0 1 -2), 35.0°, I 88
(1 -1 1), 36.8°, I 46
(0 2 1), 44.2°, I 80
(2 0 1), 56.1°, I 53